Record 1
The following is a computed powder diffractogram of PmFeSi2Mo. It was derived from a GGA-PBE-relaxed structure, using Cu Kα (weighted mean of Kα1 and Kα2).
Peak positions follow from Bragg's law for the DFT cell and can differ from measured ones.

Most intense lines, 5° ≤ 2θ ≤ 70°, low angle first:
2θ 23.7, I 36, (1 0 1); 2θ 33.1, I 20, (0 0 4); 2θ 33.4, I 43, (1 0 3); 2θ 35.8, I 100, (1 1 2); 2θ 45.3, I 34, (2 0 0); 2θ 47.8, I 18, (1 0 5); 2θ 57.2, I 16, (2 0 4); 2θ 57.5, I 18, (2 1 3); 2θ 60.9, I 17, (1 1 6); 2θ 67.9, I 13, (2 1 5)

Crystal structure
```
data_PmFeSi2Mo
_cell_length_a 4.0027
_cell_length_b 4.0027
_cell_length_c 10.8275
_cell_angle_alpha 90.00
_cell_angle_beta 90.00
_cell_angle_gamma 90.00
_symmetry_space_group_name_H-M 'I -4 m 2'
_symmetry_Int_Tables_number 119
_symmetry_space_group_name_Hall 'I -4 -2'
loop_
_atom_site_label
_atom_site_type_symbol
_atom_site_fract_x
_atom_site_fract_y
_atom_site_fract_z
_atom_site_occupancy
Pm1 Pm 0.0000 0.0000 0.0000 1
Fe1 Fe 0.0000 0.5000 0.7500 1
Si1 Si 0.0000 0.0000 0.3835 1
Mo1 Mo 0.0000 0.5000 0.2500 1
```

***

Record 2
The following is a computed powder diffractogram of Rb8Au2SeO. It was derived from a GGA-PBE-relaxed structure, using Cu Kα (weighted mean of Kα1 and Kα2).
Peak positions follow from Bragg's law for the DFT cell and can differ from measured ones.

Most intense lines, 5° ≤ 2θ ≤ 70°, low angle first:
2θ 15.7, I 44, (1 0 -1); 2θ 16.0, I 63, (1 0 1); 2θ 24.2, I 100, (1 2 -1); 2θ 25.3, I 51, (1 0 2); 2θ 29.2, I 26, (0 2 2); 2θ 31.2, I 28, (2 2 -1); 2θ 31.5, I 66, (2 2 1); 2θ 31.7, I 35, (2 0 -2); 2θ 38.8, I 34, (0 2 3); 2θ 38.9, I 26, (3 2 0)

Crystal structure
```
data_Rb8Au2SeO
_cell_length_a 7.8965
_cell_length_b 9.6876
_cell_length_c 7.9231
_cell_angle_alpha 90.00
_cell_angle_beta 90.93
_cell_angle_gamma 90.00
_symmetry_space_group_name_H-M 'P 1 2/m 1'
_symmetry_Int_Tables_number 10
_symmetry_space_group_name_Hall '-P 2y'
loop_
_atom_site_label
_atom_site_type_symbol
_atom_site_fract_x
_atom_site_fract_y
_atom_site_fract_z
_atom_site_occupancy
Rb1 Rb 0.1814 0.2122 0.1698 1
Rb2 Rb 0.2434 0.0000 0.7433 1
Rb3 Rb 0.2891 0.5000 0.6967 1
Au1 Au 0.5000 0.2263 0.5000 1
Se1 Se 0.0000 0.5000 0.0000 1
O1 O 0.0000 0.0000 0.0000 1
```

***

Record 3
The following is a computed powder diffractogram of Ti12SnPb3. It was derived from a GGA-PBE-relaxed structure, using Cu Kα (weighted mean of Kα1 and Kα2).
Peak positions follow from Bragg's law for the DFT cell and can differ from measured ones.

Most intense lines, 5° ≤ 2θ ≤ 70°, low angle first:
2θ 8.4, I 2, (0 0 1); 2θ 16.8, I 2, (0 1 0); 2θ 23.8, I 72, (1 1 0); 2θ 34.0, I 45, (2 0 0); 2θ 38.1, I 22, (2 1 0); 2θ 41.9, I 100, (1 2 2); 2θ 48.8, I 12, (2 2 0); 2θ 55.0, I 17, (3 0 2); 2θ 63.6, I 4, (3 0 4); 2θ 66.3, I 52, (3 2 2)

Crystal structure
```
data_Ti12SnPb3
_cell_length_a 5.2781
_cell_length_b 5.2783
_cell_length_c 10.5565
_cell_angle_alpha 90.00
_cell_angle_beta 90.00
_cell_angle_gamma 90.00
_symmetry_space_group_name_H-M 'P m m m'
_symmetry_Int_Tables_number 47
_symmetry_space_group_name_Hall '-P 2 2'
loop_
_atom_site_label
_atom_site_type_symbol
_atom_site_fract_x
_atom_site_fract_y
_atom_site_fract_z
_atom_site_occupancy
Ti1 Ti 0.0000 0.0000 0.1240 1
Ti2 Ti 0.0000 0.0000 0.3749 1
Ti3 Ti 0.2489 0.5000 0.2470 1
Ti4 Ti 0.5000 0.2490 0.5000 1
Ti5 Ti 0.5000 0.2523 0.0000 1
Sn1 Sn 0.0000 0.5000 0.0000 1
Pb1 Pb 0.0000 0.5000 0.5000 1
Pb2 Pb 0.5000 0.0000 0.2500 1
```

***

Record 4
The following is a computed powder diffractogram of HoUPa. It was derived from a GGA-PBE-relaxed structure, using Cu Kα (weighted mean of Kα1 and Kα2).
Peak positions follow from Bragg's law for the DFT cell and can differ from measured ones.

Most intense lines, 5° ≤ 2θ ≤ 70°, low angle first:
2θ 14.2, I 41, (2 0 0); 2θ 28.5, I 19, (3 1 0); 2θ 32.9, I 100, (3 1 -1); 2θ 33.6, I 41, (3 1 1); 2θ 33.8, I 66, (0 0 2); 2θ 37.8, I 42, (0 2 0); 2θ 39.8, I 15, (1 1 2); 2θ 51.6, I 41, (0 2 2); 2θ 59.4, I 22, (3 1 -3); 2θ 65.2, I 18, (3 3 -1)

Crystal structure
```
data_HoUPa
_cell_length_a 12.4522
_cell_length_b 4.7576
_cell_length_c 5.3066
_cell_angle_alpha 90.00
_cell_angle_beta 91.88
_cell_angle_gamma 90.00
_symmetry_space_group_name_H-M 'C 1 2/m 1'
_symmetry_Int_Tables_number 12
_symmetry_space_group_name_Hall '-C 2y'
loop_
_atom_site_label
_atom_site_type_symbol
_atom_site_fract_x
_atom_site_fract_y
_atom_site_fract_z
_atom_site_occupancy
Ho1 Ho 0.0756 0.0000 0.2562 1
U1 U 0.2438 0.0000 0.7165 1
Pa1 Pa 0.1466 0.5000 0.8167 1
```

***

Record 5
The following is a computed powder diffractogram of Tm11In9Co4. It was derived from a GGA-PBE-relaxed structure, using Cu Kα (weighted mean of Kα1 and Kα2).
Peak positions follow from Bragg's law for the DFT cell and can differ from measured ones.

Most intense lines, 5° ≤ 2θ ≤ 70°, low angle first:
2θ 28.1, I 12, (3 5 0); 2θ 31.5, I 13, (3 1 1); 2θ 33.7, I 10, (3 3 1); 2θ 35.5, I 100, (0 6 1); 2θ 35.6, I 39, (4 6 0); 2θ 37.8, I 18, (3 5 1); 2θ 38.8, I 12, (6 2 0); 2θ 50.8, I 16, (0 0 2); 2θ 63.6, I 14, (4 6 2); 2θ 65.5, I 10, (3 13 1)

Crystal structure
```
data_Tm11In9Co4
_cell_length_a 14.2661
_cell_length_b 21.3549
_cell_length_c 3.5913
_cell_angle_alpha 90.00
_cell_angle_beta 90.00
_cell_angle_gamma 90.00
_symmetry_space_group_name_H-M 'C m m m'
_symmetry_Int_Tables_number 65
_symmetry_space_group_name_Hall '-C 2 2'
loop_
_atom_site_label
_atom_site_type_symbol
_atom_site_fract_x
_atom_site_fract_y
_atom_site_fract_z
_atom_site_occupancy
Tm1 Tm 0.0000 0.0000 0.0000 1
Tm2 Tm 0.0000 0.1608 0.0000 1
Tm3 Tm 0.0000 0.3750 0.0000 1
Tm4 Tm 0.1860 0.5000 0.0000 1
Tm5 Tm 0.2492 0.3328 0.0000 1
In1 In 0.0000 0.5000 0.5000 1
In2 In 0.1057 0.2632 0.5000 1
In3 In 0.1491 0.0713 0.5000 1
Co1 Co 0.1509 0.3993 0.5000 1
```

***

Record 6
The following is a computed powder diffractogram of La5Tl2Hg2. It was derived from a GGA-PBE-relaxed structure, using Cu Kα (weighted mean of Kα1 and Kα2).
Peak positions follow from Bragg's law for the DFT cell and can differ from measured ones.

Most intense lines, 5° ≤ 2θ ≤ 70°, low angle first:
2θ 25.8, I 37, (2 2 1); 2θ 28.7, I 100, (3 1 2); 2θ 29.8, I 46, (4 2 0); 2θ 30.1, I 91, (0 2 2); 2θ 31.7, I 95, (6 0 0); 2θ 33.9, I 53, (1 3 1); 2θ 34.5, I 46, (1 1 3); 2θ 40.3, I 36, (7 1 1); 2θ 43.1, I 34, (5 3 1); 2θ 60.4, I 37, (7 3 3)

Crystal structure
```
data_La5Tl2Hg2
_cell_length_a 16.9455
_cell_length_b 8.4806
_cell_length_c 8.3063
_cell_angle_alpha 90.00
_cell_angle_beta 90.00
_cell_angle_gamma 90.00
_symmetry_space_group_name_H-M 'C m c e'
_symmetry_Int_Tables_number 64
_symmetry_space_group_name_Hall '-C 2ac 2'
loop_
_atom_site_label
_atom_site_type_symbol
_atom_site_fract_x
_atom_site_fract_y
_atom_site_fract_z
_atom_site_occupancy
La1 La 0.0000 0.0000 0.0000 1
La2 La 0.1419 0.1839 0.3305 1
Tl1 Tl 0.0000 0.1268 0.6249 1
Hg1 Hg 0.2089 0.0000 0.0000 1
```

***

Record 7
The following is a computed powder diffractogram of NaMgIN2. It was derived from a GGA-PBE-relaxed structure, using Cu Kα (weighted mean of Kα1 and Kα2).
Peak positions follow from Bragg's law for the DFT cell and can differ from measured ones.

Most intense lines, 5° ≤ 2θ ≤ 70°, low angle first:
2θ 14.4, I 58, (0 0 1); 2θ 20.5, I 100, (1 0 0); 2θ 25.1, I 42, (1 0 1); 2θ 28.9, I 55, (0 0 2); 2θ 29.1, I 56, (1 1 0); 2θ 32.6, I 88, (1 1 1); 2θ 35.7, I 47, (1 0 2); 2θ 41.5, I 44, (1 1 2); 2θ 41.6, I 39, (2 0 0); 2θ 51.5, I 40, (2 0 2)

Crystal structure
```
data_NaMgIN2
_cell_length_a 4.3418
_cell_length_b 4.3418
_cell_length_c 6.1710
_cell_angle_alpha 90.00
_cell_angle_beta 90.00
_cell_angle_gamma 90.00
_symmetry_space_group_name_H-M 'P 4/m m m'
_symmetry_Int_Tables_number 123
_symmetry_space_group_name_Hall '-P 4 2'
loop_
_atom_site_label
_atom_site_type_symbol
_atom_site_fract_x
_atom_site_fract_y
_atom_site_fract_z
_atom_site_occupancy
Na1 Na 0.0000 0.0000 0.0000 1
Mg1 Mg 0.5000 0.5000 0.5000 1
I1 I 0.5000 0.5000 0.0000 1
N1 N 0.0000 0.5000 0.5000 1
```

***

Record 8
The following is a computed powder diffractogram of Ba3Ga4Ir4. It was derived from a GGA-PBE-relaxed structure, using Cu Kα (weighted mean of Kα1 and Kα2).
Peak positions follow from Bragg's law for the DFT cell and can differ from measured ones.

Most intense lines, 5° ≤ 2θ ≤ 70°, low angle first:
2θ 15.7, I 76, (1 1 0); 2θ 27.4, I 38, (2 1 1); 2θ 31.7, I 58, (2 2 0); 2θ 35.6, I 100, (3 1 0); 2θ 39.1, I 37, (2 2 2); 2θ 42.4, I 72, (3 2 1); 2θ 48.4, I 49, (4 1 1); 2θ 53.9, I 17, (3 3 2); 2θ 59.1, I 20, (5 1 0); 2θ 66.3, I 30, (4 4 0)

Crystal structure
```
data_Ba3Ga4Ir4
_cell_length_a 7.9748
_cell_length_b 7.9748
_cell_length_c 7.9748
_cell_angle_alpha 90.00
_cell_angle_beta 90.00
_cell_angle_gamma 90.00
_symmetry_space_group_name_H-M 'I -4 3 m'
_symmetry_Int_Tables_number 217
_symmetry_space_group_name_Hall 'I -4 2 3'
loop_
_atom_site_label
_atom_site_type_symbol
_atom_site_fract_x
_atom_site_fract_y
_atom_site_fract_z
_atom_site_occupancy
Ba1 Ba 0.0000 0.0000 0.5000 1
Ga1 Ga 0.1925 0.1925 0.1925 1
Ir1 Ir 0.1260 0.1260 0.8740 1
```